[1]
This entry pairs a crystal structure of Ga8Ir2Pt with its computed powder X-ray diffraction pattern. Radiation: Cu Kα (λ = 1.5418 Å). Structure: a structure optimized by DFT (PBE).
Kinematic intensities with the Lorentz-polarization factor, no thermal factor.

Cell and atoms:
```
Ga8Ir2Pt
1.0
6.023 -3.673 0.000
6.023 3.673 0.000
-1.706 0.000 4.605
Ga Ir Pt
8 2 1
direct
0.090 0.090 0.269
0.120 0.679 0.190
0.318 0.318 0.652
0.321 0.880 0.810
0.679 0.120 0.190
0.682 0.682 0.348
0.880 0.321 0.810
0.910 0.910 0.731
0.266 0.266 0.097
0.734 0.734 0.903
0.500 0.500 0.500
```

Principal peaks in the range 2θ from 5° to 70°, in order of rising 2θ:
2θ = 20.2°, rel. 75; 2θ = 21.8°, rel. 63; 2θ = 24.2°, rel. 69; 2θ = 38.1°, rel. 100; 2θ = 40.1°, rel. 41; 2θ = 40.3°, rel. 45; 2θ = 41.8°, rel. 46; 2θ = 44.5°, rel. 48

***

[2]
This entry pairs a crystal structure of Sm4SbTe2P with its computed powder X-ray diffraction pattern. Radiation: Cu Kα (λ = 1.5418 Å). Structure: a structure optimized by DFT (PBE).
Kinematic intensities with the Lorentz-polarization factor, no thermal factor.

Cell and atoms:
```
Sm4SbTe2P
1.0
7.560 0.000 0.000
0.000 4.330 0.000
-2.495 0.000 7.250
Sm Sb Te P
4 1 2 1
direct
0.224 0.000 0.219
0.239 0.500 0.772
0.761 0.500 0.228
0.776 0.000 0.781
0.500 0.000 0.000
0.000 0.000 0.500
0.500 0.500 0.500
0.000 0.500 0.000
```

Principal peaks in the range 2θ from 5° to 70°, in order of rising 2θ:
2θ = 28.8°, rel. 100; 2θ = 40.8°, rel. 12; 2θ = 41.0°, rel. 24; 2θ = 41.5°, rel. 24; 2θ = 41.7°, rel. 13; 2θ = 51.5°, rel. 13; 2θ = 67.3°, rel. 9; 2θ = 68.0°, rel. 10

***

[3]
This entry pairs a crystal structure of Ca12Sb6N with its computed powder X-ray diffraction pattern. Radiation: Cu Kα (λ = 1.5418 Å). Structure: a structure optimized by DFT (PBE).
Kinematic intensities with the Lorentz-polarization factor, no thermal factor.

Cell and atoms:
```
Ca12Sb6N
1.0
6.619 3.822 4.196
-6.619 3.822 4.196
0.000 -7.643 4.196
Ca Sb N
12 6 1
direct
0.021 0.941 0.709
0.059 0.291 0.979
0.185 0.575 0.438
0.291 0.979 0.059
0.425 0.562 0.815
0.438 0.185 0.575
0.562 0.815 0.425
0.575 0.438 0.185
0.709 0.021 0.941
0.815 0.425 0.562
0.941 0.709 0.021
0.979 0.059 0.291
0.127 0.290 0.625
0.290 0.625 0.127
0.375 0.873 0.710
0.625 0.127 0.290
0.710 0.375 0.873
0.873 0.710 0.375
0.000 0.000 0.000
```

Principal peaks in the range 2θ from 5° to 70°, in order of rising 2θ:
2θ = 13.4°, rel. 22; 2θ = 21.2°, rel. 35; 2θ = 21.7°, rel. 100; 2θ = 29.0°, rel. 26; 2θ = 31.5°, rel. 29; 2θ = 35.2°, rel. 60; 2θ = 35.9°, rel. 45; 2θ = 42.0°, rel. 24

***

[4]
This entry pairs a crystal structure of ZrNpS3 with its computed powder X-ray diffraction pattern. Radiation: Cu Kα (λ = 1.5418 Å). Structure: a structure optimized by DFT (PBE).
Kinematic intensities with the Lorentz-polarization factor, no thermal factor.

Cell and atoms:
```
ZrNpS3
1.0
8.078 0.000 0.000
0.000 3.678 0.000
0.000 0.000 13.784
Zr Np S
4 4 12
direct
0.177 0.250 0.041
0.323 0.750 0.541
0.677 0.250 0.459
0.823 0.750 0.959
0.143 0.750 0.299
0.357 0.250 0.799
0.643 0.750 0.201
0.857 0.250 0.701
0.010 0.250 0.881
0.149 0.750 0.701
0.161 0.250 0.452
0.339 0.750 0.952
0.351 0.250 0.201
0.490 0.750 0.381
0.510 0.250 0.619
0.649 0.750 0.799
0.661 0.250 0.048
0.839 0.750 0.548
0.851 0.250 0.299
0.990 0.750 0.119
```

Principal peaks in the range 2θ from 5° to 70°, in order of rising 2θ:
2θ = 12.8°, rel. 31; 2θ = 22.3°, rel. 30; 2θ = 22.9°, rel. 73; 2θ = 25.1°, rel. 42; 2θ = 27.4°, rel. 31; 2θ = 28.2°, rel. 37; 2θ = 35.5°, rel. 100; 2θ = 42.5°, rel. 35

***

[5]
This entry pairs a crystal structure of Dy3Sb with its computed powder X-ray diffraction pattern. Radiation: Cu Kα (λ = 1.5418 Å). Structure: a structure optimized by DFT (PBE).
Kinematic intensities with the Lorentz-polarization factor, no thermal factor.

Cell and atoms:
```
Dy3Sb
1.0
-2.313 2.313 5.227
2.313 -2.313 5.227
2.313 2.313 -5.227
Dy Sb
3 1
direct
0.000 0.000 0.000
0.250 0.750 0.500
0.750 0.250 0.500
0.500 0.500 0.000
```

Principal peaks in the range 2θ from 5° to 70°, in order of rising 2θ:
2θ = 32.3°, rel. 100; 2θ = 34.3°, rel. 21; 2θ = 38.9°, rel. 30; 2θ = 52.9°, rel. 25; 2θ = 56.2°, rel. 10; 2θ = 60.2°, rel. 17; 2θ = 66.3°, rel. 25; 2θ = 67.6°, rel. 12

***

[6]
This entry pairs a crystal structure of La2TbErTm2 with its computed powder X-ray diffraction pattern. Radiation: Cu Kα (λ = 1.5418 Å). Structure: a structure optimized by DFT (PBE).
Kinematic intensities with the Lorentz-polarization factor, no thermal factor.

Cell and atoms:
```
La2TbErTm2
1.0
7.057 0.000 0.000
0.000 5.678 0.000
0.000 0.000 9.819
La Tb Er Tm
4 2 2 4
direct
0.000 0.000 0.000
0.250 0.500 0.180
0.500 0.000 0.000
0.750 0.500 0.820
0.250 0.000 0.658
0.750 0.000 0.342
0.000 0.500 0.500
0.500 0.500 0.500
0.250 0.000 0.335
0.250 0.500 0.834
0.750 0.000 0.665
0.750 0.500 0.166
```

Principal peaks in the range 2θ from 5° to 70°, in order of rising 2θ:
2θ = 31.2°, rel. 91; 2θ = 31.5°, rel. 100; 2θ = 40.8°, rel. 12; 2θ = 45.0°, rel. 33; 2θ = 56.0°, rel. 34; 2θ = 56.2°, rel. 19; 2θ = 61.9°, rel. 29; 2θ = 65.8°, rel. 12